No. 1
V3P4O14: theoretical X-ray diffraction stick pattern (copper Kα), based on a DFT-relaxed cell (GGA+U, Alexandria).
Intensities are scaled so that the largest is 1000.

Cell and atoms:
Cell lengths 7.304, 8.017, 9.519 Å; angles 90.00, 111.12, 90.00 degrees
Sites, in units of the cell vectors:
V (0.000, 0.000, 0.000)
V (0.000, 0.500, 0.500)
V (0.190, 0.128, 0.528)
V (0.190, 0.372, 0.028)
V (0.810, 0.628, 0.972)
V (0.810, 0.872, 0.472)
P (0.117, 0.710, 0.804)
P (0.117, 0.790, 0.304)
P (0.401, 0.055, 0.295)
P (0.401, 0.445, 0.795)
P (0.599, 0.555, 0.205)
P (0.599, 0.945, 0.705)
P (0.883, 0.210, 0.696)
P (0.883, 0.290, 0.196)
O (0.012, 0.215, 0.866)
O (0.012, 0.285, 0.366)
O (0.035, 0.580, 0.891)
O (0.035, 0.920, 0.391)
O (0.156, 0.626, 0.383)
O (0.156, 0.874, 0.883)
O (0.275, 0.132, 0.142)
O (0.275, 0.368, 0.642)
O (0.315, 0.631, 0.799)
O (0.315, 0.869, 0.299)
O (0.376, 0.154, 0.424)
O (0.376, 0.346, 0.924)
O (0.385, 0.521, 0.182)
O (0.385, 0.979, 0.682)
O (0.615, 0.021, 0.318)
O (0.615, 0.479, 0.818)
O (0.624, 0.654, 0.076)
O (0.624, 0.846, 0.576)
O (0.685, 0.131, 0.701)
O (0.685, 0.369, 0.201)
O (0.725, 0.632, 0.358)
O (0.725, 0.868, 0.858)
O (0.844, 0.126, 0.117)
O (0.844, 0.374, 0.617)
O (0.965, 0.080, 0.609)
O (0.965, 0.420, 0.109)
O (0.988, 0.715, 0.634)
O (0.988, 0.785, 0.134)

Main lines, in order of rising 2θ (10° ≤ 2θ ≤ 80°):
- 12.99°, rel. 1000
- 14.89°, rel. 629
- 17.26°, rel. 988
- 22.90°, rel. 263
- 27.65°, rel. 356
- 28.91°, rel. 637
- 29.40°, rel. 805
- 29.72°, rel. 720
- 29.85°, rel. 640
- 33.31°, rel. 247
- 36.14°, rel. 260
- 38.87°, rel. 270

***

No. 2
V2P2O9: theoretical X-ray diffraction stick pattern (copper Kα), based on a DFT-relaxed cell (GGA+U, Alexandria).
Intensities are scaled so that the largest is 1000.

Cell and atoms:
Cell lengths 8.544, 9.695, 7.499 Å; angles 90.00, 90.00, 90.00 degrees
Sites, in units of the cell vectors:
V (0.192, 0.003, 0.029)
V (0.192, 0.997, 0.529)
V (0.308, 0.497, 0.529)
V (0.308, 0.503, 0.029)
V (0.692, 0.497, 0.971)
V (0.692, 0.503, 0.471)
V (0.808, 0.003, 0.471)
V (0.808, 0.997, 0.971)
P (0.002, 0.298, 0.957)
P (0.002, 0.702, 0.457)
P (0.498, 0.202, 0.457)
P (0.498, 0.798, 0.957)
P (0.502, 0.202, 0.043)
P (0.502, 0.798, 0.543)
P (0.998, 0.298, 0.543)
P (0.998, 0.702, 0.043)
O (0.000, 0.137, 0.523)
O (0.000, 0.137, 0.977)
O (0.000, 0.333, 0.750)
O (0.000, 0.667, 0.250)
O (0.000, 0.863, 0.023)
O (0.000, 0.863, 0.477)
O (0.145, 0.361, 0.465)
O (0.145, 0.639, 0.965)
O (0.153, 0.353, 0.034)
O (0.153, 0.647, 0.534)
O (0.182, 0.026, 0.251)
O (0.182, 0.974, 0.751)
O (0.318, 0.474, 0.751)
O (0.318, 0.526, 0.251)
O (0.347, 0.147, 0.534)
O (0.347, 0.853, 0.034)
O (0.355, 0.139, 0.965)
O (0.355, 0.861, 0.465)
O (0.500, 0.167, 0.250)
O (0.500, 0.363, 0.023)
O (0.500, 0.363, 0.477)
O (0.500, 0.637, 0.523)
O (0.500, 0.637, 0.977)
O (0.500, 0.833, 0.750)
O (0.645, 0.139, 0.535)
O (0.645, 0.861, 0.035)
O (0.653, 0.147, 0.966)
O (0.653, 0.853, 0.466)
O (0.682, 0.474, 0.749)
O (0.682, 0.526, 0.249)
O (0.818, 0.026, 0.249)
O (0.818, 0.974, 0.749)
O (0.847, 0.353, 0.466)
O (0.847, 0.647, 0.966)
O (0.855, 0.361, 0.035)
O (0.855, 0.639, 0.535)

Main lines, in order of rising 2θ (10° ≤ 2θ ≤ 80°):
- 18.25°, rel. 272
- 23.73°, rel. 1000
- 27.84°, rel. 871
- 29.55°, rel. 443
- 32.77°, rel. 167
- 36.89°, rel. 230
- 42.30°, rel. 210
- 48.56°, rel. 157
- 49.07°, rel. 149
- 56.94°, rel. 166
- 57.50°, rel. 161
- 63.08°, rel. 115

***

No. 3
VP6W3O24: theoretical X-ray diffraction stick pattern (copper Kα), based on a DFT-relaxed cell (GGA+U, Alexandria).
Intensities are scaled so that the largest is 1000.

Cell and atoms:
Cell lengths 8.919, 8.919, 8.919 Å; angles 58.88, 58.88, 58.88 degrees
Sites, in units of the cell vectors:
V (0.000, 0.000, 0.000)
P (0.108, 0.389, 0.823)
P (0.320, 0.896, 0.610)
P (0.389, 0.823, 0.108)
P (0.610, 0.320, 0.896)
P (0.823, 0.108, 0.389)
P (0.896, 0.610, 0.320)
W (0.216, 0.216, 0.216)
W (0.501, 0.501, 0.501)
W (0.715, 0.715, 0.715)
O (0.077, 0.441, 0.289)
O (0.098, 0.215, 0.847)
O (0.144, 0.368, 0.988)
O (0.156, 0.902, 0.786)
O (0.215, 0.847, 0.098)
O (0.269, 0.439, 0.640)
O (0.289, 0.077, 0.441)
O (0.358, 0.734, 0.558)
O (0.368, 0.988, 0.144)
O (0.439, 0.640, 0.269)
O (0.441, 0.289, 0.077)
O (0.499, 0.869, 0.625)
O (0.558, 0.358, 0.734)
O (0.563, 0.806, 0.930)
O (0.625, 0.499, 0.869)
O (0.640, 0.269, 0.439)
O (0.734, 0.558, 0.358)
O (0.786, 0.156, 0.902)
O (0.806, 0.930, 0.563)
O (0.847, 0.098, 0.215)
O (0.869, 0.625, 0.499)
O (0.902, 0.786, 0.156)
O (0.930, 0.563, 0.806)
O (0.988, 0.144, 0.368)

Main lines, in order of rising 2θ (10° ≤ 2θ ≤ 80°):
- 14.17°, rel. 429
- 19.91°, rel. 1000
- 20.26°, rel. 820
- 23.64°, rel. 371
- 28.56°, rel. 567
- 31.79°, rel. 421
- 35.26°, rel. 345
- 35.47°, rel. 276
- 45.66°, rel. 162
- 46.15°, rel. 204
- 52.34°, rel. 223
- 55.46°, rel. 198

***

No. 4
VZn2P2O9: theoretical X-ray diffraction stick pattern (copper Kα), based on a DFT-relaxed cell (GGA+U, Alexandria).
Intensities are scaled so that the largest is 1000.

Cell and atoms:
Cell lengths 7.882, 7.882, 7.882 Å; angles 109.94, 109.94, 108.53 degrees
Sites, in units of the cell vectors:
V (0.000, 0.000, 0.000)
V (0.500, 0.500, 0.000)
Zn (0.220, 0.720, 0.262)
Zn (0.458, 0.958, 0.738)
Zn (0.720, 0.458, 0.500)
Zn (0.958, 0.220, 0.500)
P (0.177, 0.677, 0.885)
P (0.291, 0.177, 0.500)
P (0.677, 0.791, 0.500)
P (0.791, 0.291, 0.115)
O (0.088, 0.122, 0.310)
O (0.122, 0.812, 0.034)
O (0.176, 0.176, 0.000)
O (0.264, 0.972, 0.500)
O (0.278, 0.312, 0.690)
O (0.285, 0.785, 0.800)
O (0.312, 0.622, 0.034)
O (0.472, 0.764, 0.500)
O (0.486, 0.285, 0.500)
O (0.588, 0.278, 0.966)
O (0.622, 0.588, 0.310)
O (0.676, 0.676, 0.000)
O (0.764, 0.264, 0.292)
O (0.778, 0.088, 0.966)
O (0.785, 0.986, 0.500)
O (0.812, 0.778, 0.690)
O (0.972, 0.472, 0.708)
O (0.986, 0.486, 0.200)

Main lines, in order of rising 2θ (10° ≤ 2θ ≤ 80°):
- 19.28°, rel. 1000
- 23.81°, rel. 919
- 24.02°, rel. 941
- 27.89°, rel. 292
- 31.26°, rel. 674
- 36.76°, rel. 342
- 37.13°, rel. 283
- 39.85°, rel. 219
- 41.71°, rel. 329
- 44.63°, rel. 389
- 57.09°, rel. 204
- 63.28°, rel. 311

***

No. 5
VZnP2O7: theoretical X-ray diffraction stick pattern (copper Kα), based on a DFT-relaxed cell (GGA+U, Alexandria).
Intensities are scaled so that the largest is 1000.

Cell and atoms:
Cell lengths 5.680, 6.540, 7.417 Å; angles 81.74, 87.48, 71.00 degrees
Sites, in units of the cell vectors:
V (0.163, 0.337, 0.347)
V (0.837, 0.663, 0.653)
Zn (0.253, 0.850, 0.791)
Zn (0.747, 0.150, 0.209)
P (0.268, 0.801, 0.380)
P (0.320, 0.317, 0.904)
P (0.680, 0.683, 0.096)
P (0.732, 0.199, 0.620)
O (0.102, 0.037, 0.316)
O (0.113, 0.648, 0.431)
O (0.156, 0.552, 0.832)
O (0.214, 0.141, 0.874)
O (0.400, 0.304, 0.103)
O (0.420, 0.716, 0.205)
O (0.444, 0.793, 0.535)
O (0.556, 0.207, 0.465)
O (0.580, 0.284, 0.795)
O (0.600, 0.696, 0.897)
O (0.786, 0.859, 0.126)
O (0.844, 0.448, 0.168)
O (0.887, 0.352, 0.569)
O (0.898, 0.963, 0.684)

Main lines, in order of rising 2θ (10° ≤ 2θ ≤ 80°):
- 17.54°, rel. 122
- 20.46°, rel. 159
- 24.25°, rel. 143
- 28.51°, rel. 533
- 29.04°, rel. 267
- 29.16°, rel. 241
- 29.47°, rel. 1000
- 33.37°, rel. 287
- 41.74°, rel. 149
- 42.00°, rel. 144
- 43.36°, rel. 200
- 55.95°, rel. 138

***

No. 6
V2Zn3P4O18: theoretical X-ray diffraction stick pattern (copper Kα), based on a DFT-relaxed cell (GGA+U, Alexandria).
Intensities are scaled so that the largest is 1000.

Cell and atoms:
Cell lengths 7.846, 7.846, 7.779 Å; angles 111.59, 111.59, 105.58 degrees
Sites, in units of the cell vectors:
V (0.250, 0.750, 0.000)
V (0.750, 0.250, 0.000)
Zn (0.034, 0.034, 0.501)
Zn (0.310, 0.551, 0.499)
Zn (0.551, 0.310, 0.499)
P (0.082, 0.082, 0.115)
P (0.467, 0.467, 0.885)
P (0.589, 0.964, 0.500)
P (0.964, 0.589, 0.500)
O (0.011, 0.785, 0.499)
O (0.081, 0.582, 0.000)
O (0.131, 0.927, 0.969)
O (0.168, 0.627, 0.696)
O (0.269, 0.269, 0.775)
O (0.290, 0.290, 0.280)
O (0.431, 0.972, 0.304)
O (0.458, 0.661, 0.031)
O (0.486, 0.773, 0.500)
O (0.508, 0.508, 0.718)
O (0.582, 0.081, 0.000)
O (0.627, 0.168, 0.696)
O (0.661, 0.458, 0.031)
O (0.773, 0.486, 0.500)
O (0.785, 0.011, 0.499)
O (0.927, 0.131, 0.969)
O (0.972, 0.431, 0.304)
O (0.996, 0.996, 0.227)

Main lines, in order of rising 2θ (10° ≤ 2θ ≤ 80°):
- 13.74°, rel. 378
- 14.35°, rel. 272
- 18.70°, rel. 607
- 23.59°, rel. 1000
- 23.67°, rel. 562
- 24.42°, rel. 772
- 27.68°, rel. 336
- 28.93°, rel. 728
- 30.03°, rel. 297
- 31.99°, rel. 275
- 32.11°, rel. 329
- 48.18°, rel. 293